# 1
In2Sn5Br12: computed X-ray diffraction stick pattern (λ = 1.5418 Å (Cu Kα)), based on a PBE-relaxed structure.

Top 12 peaks for 2θ from 10° to 80°, by angle:
17.17°, intensity 47; 19.31°, intensity 49; 20.24°, intensity 86; 26.31°, intensity 58; 27.65°, intensity 100; 32.97°, intensity 35; 34.32°, intensity 36; 34.58°, intensity 34; 37.70°, intensity 94; 40.58°, intensity 48; 44.94°, intensity 40; 46.86°, intensity 33

Cell lengths 9.1138, 9.1138, 11.2057 Å; angles 104.68, 104.68, 52.55 degrees
Fractional positions:
In 0.2027 0.7973 0.0000
In 0.7973 0.2027 0.0000
Sn 0.0000 0.0000 0.5000
Sn 0.3090 0.3090 0.6767
Sn 0.3371 0.3371 0.2743
Sn 0.6629 0.6629 0.7257
Sn 0.6910 0.6910 0.3233
Br 0.0399 0.5533 0.8480
Br 0.0446 0.0446 0.7701
Br 0.1271 0.5997 0.4783
Br 0.4003 0.8729 0.5217
Br 0.4467 0.9601 0.1520
Br 0.4882 0.4882 0.7936
Br 0.5118 0.5118 0.2064
Br 0.5533 0.0399 0.8480
Br 0.5997 0.1271 0.4783
Br 0.8729 0.4003 0.5217
Br 0.9554 0.9554 0.2299
Br 0.9601 0.4467 0.1520

---

# 2
La2MgNi9: computed X-ray diffraction stick pattern (λ = 1.5418 Å (Cu Kα)), based on a PBE-relaxed structure.

Top 12 peaks for 2θ from 10° to 80°, by angle:
21.76°, intensity 9; 27.56°, intensity 10; 33.05°, intensity 22; 35.87°, intensity 29; 36.10°, intensity 21; 41.83°, intensity 29; 42.43°, intensity 100; 44.74°, intensity 18; 45.83°, intensity 17; 49.63°, intensity 9; 69.00°, intensity 25; 76.03°, intensity 17

Cell lengths 8.6030, 8.6030, 8.6030 Å; angles 33.84, 33.84, 33.84 degrees
Fractional positions:
La 0.0000 0.0000 0.0000
La 0.1460 0.1460 0.1460
Mg 0.2802 0.2802 0.2802
Ni 0.0610 0.5590 0.5590
Ni 0.2268 0.7251 0.7251
Ni 0.4749 0.4749 0.4749
Ni 0.5590 0.0610 0.5590
Ni 0.5590 0.5590 0.0610
Ni 0.6412 0.6412 0.6412
Ni 0.7251 0.2268 0.7251
Ni 0.7251 0.7251 0.2268
Ni 0.8093 0.8093 0.8093

---

# 3
Sr6LiIn: computed X-ray diffraction stick pattern (λ = 1.5418 Å (Cu Kα)), based on a PBE-relaxed structure.

Top 12 peaks for 2θ from 10° to 80°, by angle:
15.64°, intensity 15; 19.86°, intensity 9; 23.02°, intensity 15; 25.97°, intensity 12; 27.54°, intensity 100; 30.33°, intensity 52; 33.84°, intensity 12; 40.35°, intensity 15; 43.42°, intensity 19; 46.87°, intensity 9; 49.38°, intensity 10; 52.19°, intensity 33

Cell lengths 11.1039, 11.1039, 11.1039 Å; angles 149.22, 149.22, 44.09 degrees
Fractional positions:
Sr 0.0968 0.5968 0.5000
Sr 0.2498 0.2498 0.0000
Sr 0.4032 0.9032 0.5000
Sr 0.5968 0.0968 0.5000
Sr 0.7502 0.7502 0.0000
Sr 0.9032 0.4032 0.5000
Li 0.0000 0.0000 0.0000
In 0.5000 0.5000 0.0000

---

# 4
Ac2Pm6Tm: computed X-ray diffraction stick pattern (λ = 1.5418 Å (Cu Kα)), based on a PBE-relaxed structure.

Top 12 peaks for 2θ from 10° to 80°, by angle:
29.51°, intensity 100; 34.03°, intensity 17; 34.29°, intensity 34; 49.09°, intensity 25; 49.27°, intensity 12; 58.15°, intensity 15; 58.42°, intensity 15; 58.55°, intensity 14; 61.24°, intensity 13; 79.57°, intensity 6; 79.68°, intensity 6; 79.91°, intensity 6

Cell lengths 11.0958, 8.2862, 8.2664 Å; angles 84.19, 47.98, 47.83 degrees
Fractional positions:
Ac 0.1627 0.1627 0.8373
Ac 0.8373 0.8373 0.1627
Pm 0.1655 0.5048 0.4952
Pm 0.1691 0.8309 0.1691
Pm 0.4952 0.8345 0.1655
Pm 0.5048 0.1655 0.8345
Pm 0.8309 0.1691 0.8309
Pm 0.8345 0.4952 0.5048
Tm 0.5000 0.5000 0.5000

---

# 5
NdTm2Pb3: computed X-ray diffraction stick pattern (λ = 1.5418 Å (Cu Kα)), based on a PBE-relaxed structure.

Top 12 peaks for 2θ from 10° to 80°, by angle:
21.12°, intensity 2; 32.18°, intensity 100; 32.28°, intensity 25; 39.64°, intensity 29; 52.01°, intensity 26; 57.23°, intensity 5; 57.47°, intensity 19; 57.55°, intensity 5; 67.22°, intensity 19; 67.34°, intensity 15; 67.43°, intensity 3; 67.55°, intensity 3

Cell lengths 9.0785, 9.0785, 6.4065 Å; angles 100.06, 100.06, 41.54 degrees
Fractional positions:
Nd 0.1259 0.8741 0.7500
Nd 0.8741 0.1259 0.2500
Tm 0.2107 0.4569 0.9230
Tm 0.4569 0.2107 0.4230
Tm 0.5431 0.7893 0.5770
Tm 0.7893 0.5431 0.0770
Pb 0.0472 0.2939 0.5877
Pb 0.2939 0.0472 0.0877
Pb 0.3763 0.6237 0.2500
Pb 0.6237 0.3763 0.7500
Pb 0.7061 0.9528 0.9123
Pb 0.9528 0.7061 0.4123

---

# 6
HoPuO: computed X-ray diffraction stick pattern (λ = 1.5418 Å (Cu Kα)), based on a PBE-relaxed structure.

Top 12 peaks for 2θ from 10° to 80°, by angle:
29.92°, intensity 24; 31.27°, intensity 38; 33.67°, intensity 57; 33.86°, intensity 100; 43.82°, intensity 23; 52.86°, intensity 21; 53.24°, intensity 10; 57.20°, intensity 13; 57.32°, intensity 22; 62.71°, intensity 22; 63.05°, intensity 11; 64.49°, intensity 18

Cell lengths 6.8822, 5.7213, 6.0133 Å; angles 90.00, 90.00, 90.00 degrees
Fractional positions:
Ho 0.1202 0.0018 0.0000
Ho 0.3798 0.0018 0.5000
Ho 0.6202 0.9982 0.0000
Ho 0.8798 0.9982 0.5000
Pu 0.1234 0.4926 0.3224
Pu 0.3766 0.4926 0.8224
Pu 0.6234 0.5074 0.3224
Pu 0.8766 0.5074 0.8224
O 0.1262 0.2416 0.6594
O 0.3738 0.2416 0.1594
O 0.6262 0.7584 0.6594
O 0.8738 0.7584 0.1594